This entry pairs a crystal structure of Na2Ga7Au12 with its computed PXRD pattern. Radiation: Cu Kα X-rays. Structure: a DFT-relaxed cell (PBE, Alexandria).
Lines closer than 0.1° are merged.

Structural model:
```
data_Na2Ga7Au12
_chemical_formula_sum 'Na2 Ga7 Au12'
_symmetry_space_group_name_H-M 'P -1'
_symmetry_Int_Tables_number 2
_cell_length_a 4.2803
_cell_length_b 10.4665
_cell_length_c 10.5100
_cell_angle_alpha 61.51
_cell_angle_beta 84.61
_cell_angle_gamma 87.71
loop_
_symmetry_equiv_pos_as_xyz
'x,y,z'
'-x,-y,-z'
loop_
_atom_site_label
_atom_site_type_symbol
_atom_site_fract_x
_atom_site_fract_y
_atom_site_fract_z
Na1 Na 0.2366 0.1780 0.1673
Ga1 Ga 0.2316 0.6157 0.0869
Ga2 Ga 0.2951 0.7865 0.5958
Ga3 Ga 0.3005 0.0892 0.7862
Ga4 Ga 0.5000 0.5000 0.5000
Au1 Au 0.1795 0.7459 0.3692
Au2 Au 0.1913 0.3888 0.3560
Au3 Au 0.2097 0.0458 0.5699
Au4 Au 0.2429 0.8834 0.0490
Au5 Au 0.2741 0.5744 0.8665
Au6 Au 0.2864 0.3472 0.7780
```

Largest 10 diffraction maxima, by intensity, 10 to 90 degrees two-theta:
- 42.45 deg, intensity 100
- 33.90 deg, intensity 96
- 34.21 deg, intensity 88
- 16.96 deg, intensity 75
- 43.09 deg, intensity 68
- 44.94 deg, intensity 59
- 43.69 deg, intensity 53
- 31.97 deg, intensity 51
- 32.11 deg, intensity 48
- 35.19 deg, intensity 44